No. 1
Calculated PXRD pattern
Compound: PrCu12Ge4
Radiation: CuKα
Structure: DFT lattice parameters and positions (GGA-PBE)

Atomic structure:
```
17
Lattice="-4.1491 4.1491 4.1491 4.1491 -4.1491 4.1491 4.1491 4.1491 -4.1491" Properties=species:S:1:pos:R:3 pbc="T T T"
Pr 0.0000 0.0000 0.0000
Cu 2.9569 1.2474 0.0000
Cu 5.3413 1.2474 0.0000
Cu 4.1491 -1.1922 2.9017
Cu 2.9017 4.1491 -1.1922
Cu 1.2474 0.0000 2.9569
Cu 4.1491 1.1922 2.9017
Cu 0.0000 2.9569 1.2474
Cu 2.9017 4.1491 1.1922
Cu 1.2474 0.0000 5.3413
Cu 0.0000 5.3413 1.2474
Cu -1.1922 2.9017 4.1491
Cu 1.1922 2.9017 4.1491
Ge 2.0746 2.0746 -2.0746
Ge 2.0746 -2.0746 2.0746
Ge -2.0746 2.0746 2.0746
Ge 2.0746 2.0746 2.0746
```

Main lines, in order of rising 2θ (10° ≤ 2θ ≤ 90°):
2.934 Å, 2θ 30.5, rel. 243; 2.624 Å, 2θ 34.2, rel. 1000; 2.218 Å, 2θ 40.7, rel. 452; 1.856 Å, 2θ 49.1, rel. 212; 1.694 Å, 2θ 54.1, rel. 338; 1.627 Å, 2θ 56.6, rel. 413; 1.312 Å, 2θ 72.0, rel. 108; 1.224 Å, 2θ 78.1, rel. 112; 1.198 Å, 2θ 80.1, rel. 102; 1.109 Å, 2θ 88.1, rel. 43

No. 2
Calculated PXRD pattern
Compound: BaLi2Bi3
Radiation: CuKα
Structure: DFT lattice parameters and positions (GGA-PBE)

Atomic structure:
```
12
Lattice="6.1261 -4.9498 0.0000 6.1261 4.9498 0.0000 0.0000 0.0000 6.2892" Properties=species:S:1:pos:R:3 pbc="T T T"
Ba 6.1261 3.1306 4.7169
Ba 6.1261 -3.1306 1.5723
Li 3.5671 0.0000 0.0000
Li 3.5671 0.0000 3.1446
Li 8.6851 0.0000 0.0000
Li 8.6851 0.0000 3.1446
Bi 3.5490 2.7141 1.5723
Bi 8.7032 2.7141 1.5723
Bi 6.1261 0.4670 1.5723
Bi 6.1261 -0.4670 4.7169
Bi 3.5490 -2.7141 4.7169
Bi 8.7032 -2.7141 4.7169
```

Main lines, in order of rising 2θ (10° ≤ 2θ ≤ 90°):
7.700 Å, 2θ 11.5, rel. 460; 4.950 Å, 2θ 17.9, rel. 468; 3.850 Å, 2θ 23.1, rel. 1000; 3.284 Å, 2θ 27.2, rel. 804; 3.237 Å, 2θ 27.6, rel. 858; 3.145 Å, 2θ 28.4, rel. 956; 3.063 Å, 2θ 29.2, rel. 526; 2.435 Å, 2θ 36.9, rel. 680; 2.376 Å, 2θ 37.9, rel. 696; 2.194 Å, 2θ 41.1, rel. 407

No. 3
Calculated PXRD pattern
Compound: Ce8Sb2Rh
Radiation: CuKα
Structure: DFT lattice parameters and positions (GGA-PBE)

Atomic structure:
```
11
Lattice="8.7262 -2.7788 0.0000 8.7262 2.7788 0.0000 -1.8915 0.0000 6.1822" Properties=species:S:1:pos:R:3 pbc="T T T"
Ce -0.4887 0.0000 1.7290
Ce 2.7485 0.0000 3.9795
Ce 6.0450 0.0000 1.0208
Ce 5.4716 0.0000 4.6995
Ce 10.0893 0.0000 1.4827
Ce 9.5158 0.0000 5.1614
Ce 12.8123 0.0000 2.2027
Ce 16.0496 0.0000 4.4532
Sb 2.7954 0.0000 0.7029
Sb 12.7654 0.0000 5.4793
Rh 7.7804 0.0000 3.0911
```

Main lines, in order of rising 2θ (10° ≤ 2θ ≤ 90°):
3.091 Å, 2θ 28.9, rel. 159; 3.067 Å, 2θ 29.1, rel. 224; 2.861 Å, 2θ 31.3, rel. 607; 2.779 Å, 2θ 32.2, rel. 1000; 2.718 Å, 2θ 32.9, rel. 373; 2.565 Å, 2θ 35.0, rel. 259; 2.425 Å, 2θ 37.1, rel. 389; 2.379 Å, 2θ 37.8, rel. 150; 2.059 Å, 2θ 44.0, rel. 149; 1.390 Å, 2θ 67.4, rel. 163